[1]
The following is a simulated powder X-ray diffraction pattern of CaSm2Se3. It was derived from a DFT-relaxed cell (GGA-PBE, Alexandria), using copper Kα.

Crystal structure
Lattice parameters (Å, degrees): 4.147 5.899 12.641 90.00 90.00 90.00
Sites, in units of the cell vectors:
Ca  0.000  0.000  0.000
Ca  0.500  0.500  0.500
Sm  0.000  0.000  0.333
Sm  0.000  0.000  0.667
Sm  0.500  0.500  0.167
Sm  0.500  0.500  0.833
Se  0.000  0.500  0.000
Se  0.000  0.500  0.336
Se  0.000  0.500  0.664
Se  0.500  0.000  0.164
Se  0.500  0.000  0.500
Se  0.500  0.000  0.836

Principal peaks in the range 10 to 80 degrees two-theta, sorted by position:
- d 6.321, 14.0 deg, I 61
- d 5.346, 16.6 deg, I 87
- d 2.954, 30.3 deg, I 1000
- d 2.107, 42.9 deg, I 126
- d 2.088, 43.3 deg, I 492
- d 2.073, 43.7 deg, I 121
- d 1.714, 53.4 deg, I 132
- d 1.696, 54.1 deg, I 127
- d 1.478, 62.9 deg, I 80
- d 1.320, 71.4 deg, I 219
- d 1.213, 78.9 deg, I 84
- d 1.200, 80.0 deg, I 81

---

[2]
The following is a simulated powder X-ray diffraction pattern of Ca8Ag2Au. It was derived from a DFT-relaxed cell (GGA-PBE, Alexandria), using copper Kα.

Crystal structure
Lattice parameters (Å, degrees): 9.809 9.809 8.609 96.40 96.40 26.78
Sites, in units of the cell vectors:
Ca  0.001  0.001  0.282
Ca  0.211  0.211  0.839
Ca  0.342  0.342  0.511
Ca  0.402  0.402  0.960
Ca  0.598  0.598  0.040
Ca  0.658  0.658  0.489
Ca  0.789  0.789  0.161
Ca  0.999  0.999  0.718
Ag  0.185  0.185  0.232
Ag  0.815  0.815  0.768
Au  0.500  0.500  0.500

Principal peaks in the range 10 to 80 degrees two-theta, sorted by position:
- d 6.016, 14.7 deg, I 1000
- d 4.363, 20.4 deg, I 437
- d 4.077, 21.8 deg, I 315
- d 3.968, 22.4 deg, I 513
- d 3.689, 24.1 deg, I 357
- d 3.160, 28.2 deg, I 345
- d 3.114, 28.7 deg, I 864
- d 3.032, 29.5 deg, I 569
- d 2.856, 31.3 deg, I 348
- d 2.685, 33.4 deg, I 470
- d 2.511, 35.8 deg, I 469
- d 2.271, 39.7 deg, I 376

---

[3]
The following is a simulated powder X-ray diffraction pattern of Nb2Ge2Se7. It was derived from a DFT-relaxed cell (GGA-PBE, Alexandria), using copper Kα.

Crystal structure
Lattice parameters (Å, degrees): 6.612 6.612 8.269 96.79 96.79 117.14
Sites, in units of the cell vectors:
Nb  0.141  0.859  0.000
Nb  0.859  0.141  0.000
Ge  0.197  0.197  0.644
Ge  0.803  0.803  0.356
Se  0.060  0.435  0.820
Se  0.182  0.182  0.216
Se  0.435  0.060  0.820
Se  0.500  0.500  0.500
Se  0.565  0.940  0.180
Se  0.818  0.818  0.784
Se  0.940  0.565  0.180

Principal peaks in the range 10 to 80 degrees two-theta, sorted by position:
- d 8.054, 11.0 deg, I 468
- d 5.772, 15.4 deg, I 315
- d 4.621, 19.2 deg, I 552
- d 4.311, 20.6 deg, I 445
- d 2.927, 30.5 deg, I 1000
- d 2.663, 33.7 deg, I 177
- d 2.416, 37.2 deg, I 744
- d 2.199, 41.0 deg, I 171
- d 2.190, 41.2 deg, I 270
- d 1.924, 47.3 deg, I 212
- d 1.881, 48.4 deg, I 164
- d 1.808, 50.5 deg, I 281